Theoretical X-ray powder pattern of Cs2PuAg2Br6 for Cu Ka, from a structure optimized by DFT (GGA-PBE).

Structural model:
```
11
Lattice="7.192 -4.145 0.000 7.192 4.145 0.000 -4.550 0.000 7.495" Properties=species:S:1:pos:R:3 pbc="T T T"
Cs 2.355 0.000 1.485
Cs 7.478 0.000 6.010
Pu -2.275 0.000 3.747
Ag 2.773 0.000 6.095
Ag 7.060 0.000 1.400
Br 5.446 2.179 1.615
Br 0.520 0.000 4.630
Br 4.387 2.179 5.880
Br 5.446 -2.179 1.615
Br 9.313 0.000 2.864
Br 4.387 -2.179 5.880
```

The 6 most intense peaks (2θ from 10° to 90°), by angle:
d_spacing	I_rel
6.008	297
4.462	329
4.147	1000
3.784	579
3.004	550
2.073	412


Theoretical X-ray powder pattern of CsRbAgBr4 for Cu Ka, from a structure optimized by DFT (GGA-PBE).

Structural model:
```
14
Lattice="3.862 -8.840 0.000 3.862 8.840 0.000 0.000 0.000 7.751" Properties=species:S:1:pos:R:3 pbc="T T T"
Cs 3.862 6.941 5.814
Cs 3.862 -6.941 1.938
Rb 3.862 2.010 5.814
Rb 3.862 -2.010 1.938
Ag 3.862 4.385 1.938
Ag 3.862 -4.385 5.814
Br 1.931 4.420 0.000
Br 1.931 4.420 3.876
Br 3.862 7.140 1.938
Br 3.862 1.611 1.938
Br 1.931 -4.420 0.000
Br 1.931 -4.420 3.876
Br 3.862 -1.611 5.814
Br 3.862 -7.140 5.814
```

The 6 most intense peaks (2θ from 10° to 90°), by angle:
d_spacing	I_rel
8.840	564
3.869	622
2.947	420
2.911	743
2.736	1000
2.005	542